Structure and computed X-ray diffraction stick pattern of KMn2Cu (DFT lattice parameters and positions (PBE); Cu Ka).

Structure:
```
data_KMn2Cu
_cell_length_a 3.143
_cell_length_b 3.143
_cell_length_c 8.748
_cell_angle_alpha 90.00
_cell_angle_beta 90.00
_cell_angle_gamma 90.00
_symmetry_space_group_name_H-M 'P 4/m m m'
_symmetry_Int_Tables_number 123
_symmetry_space_group_name_Hall '-P 4 2'
loop_
_atom_site_label
_atom_site_type_symbol
_atom_site_fract_x
_atom_site_fract_y
_atom_site_fract_z
K1 K 0.000 0.000 0.000
Mn1 Mn 0.500 0.500 0.342
Cu1 Cu 0.000 0.000 0.500
```

Principal peaks in the range 2θ from 10° to 90°, low angle first:
(hkl)	2θ/deg	d_spacing	intensity
0 0 1	10.11	8.748	100
0 0 2	20.30	4.374	11
1 0 2	35.16	2.552	63
1 1 0	40.60	2.222	42
1 1 1	41.95	2.154	13
1 0 3	42.28	2.138	30
1 0 4	50.87	1.795	29
2 0 0	58.77	1.571	13
2 1 2	70.36	1.338	14
2 1 4	81.39	1.182	13

***

Structure and computed X-ray diffraction stick pattern of HgP2SeO8 (DFT lattice parameters and positions (PBE); Cu Ka).

Structure:
```
data_HgP2SeO8
_cell_length_a 8.262
_cell_length_b 5.354
_cell_length_c 7.633
_cell_angle_alpha 90.00
_cell_angle_beta 96.54
_cell_angle_gamma 90.00
_symmetry_space_group_name_H-M 'C 1 2/m 1'
_symmetry_Int_Tables_number 12
_symmetry_space_group_name_Hall '-C 2y'
loop_
_atom_site_label
_atom_site_type_symbol
_atom_site_fract_x
_atom_site_fract_y
_atom_site_fract_z
Hg1 Hg 0.000 0.000 0.000
P1 P 0.166 0.500 0.710
Se1 Se 0.000 0.000 0.500
O1 O 0.053 0.263 0.698
O2 O 0.229 0.000 0.444
O3 O 0.243 0.000 0.102
```

Principal peaks in the range 2θ from 10° to 90°, low angle first:
(hkl)	2θ/deg	d_spacing	intensity
1 1 0	19.80	4.484	100
2 0 0	21.65	4.104	36
1 1 -1	22.40	3.970	57
0 0 2	23.46	3.792	23
1 1 -2	29.90	2.988	54
2 0 -2	30.21	2.958	23
1 1 2	31.84	2.810	56
0 2 0	33.47	2.677	26
3 1 0	36.89	2.436	36
0 2 2	41.28	2.187	29

***

Structure and computed X-ray diffraction stick pattern of BaSc5 (DFT lattice parameters and positions (PBE); Cu Ka).

Structure:
```
data_BaSc5
_cell_length_a 12.432
_cell_length_b 3.462
_cell_length_c 8.059
_cell_angle_alpha 90.00
_cell_angle_beta 104.29
_cell_angle_gamma 90.00
_symmetry_space_group_name_H-M 'C 1 m 1'
_symmetry_Int_Tables_number 8
_symmetry_space_group_name_Hall 'C -2y'
loop_
_atom_site_label
_atom_site_type_symbol
_atom_site_fract_x
_atom_site_fract_y
_atom_site_fract_z
Ba1 Ba 0.000 0.000 0.000
Sc1 Sc 0.051 0.000 0.591
Sc2 Sc 0.170 0.500 0.348
Sc3 Sc 0.223 0.500 0.914
Sc4 Sc 0.322 0.000 0.642
Sc5 Sc 0.370 0.000 0.284
```

Principal peaks in the range 2θ from 10° to 90°, low angle first:
(hkl)	2θ/deg	d_spacing	intensity
0 0 1	11.33	7.809	14
1 1 1	29.90	2.988	22
2 0 2	30.19	2.960	17
4 0 -2	32.77	2.733	33
3 1 0	34.20	2.622	100
4 0 1	34.46	2.603	38
5 1 -1	44.94	2.017	14
3 1 3	53.45	1.714	14
7 1 -2	59.41	1.556	16
7 1 1	64.12	1.452	15

***

What did the first record say?
Structure and computed X-ray diffraction stick pattern of KMn2Cu (DFT lattice parameters and positions (PBE); Cu Ka).

Structure:
```
data_KMn2Cu
_cell_length_a 3.143
_cell_length_b 3.143
_cell_length_c 8.748
_cell_angle_alpha 90.00
_cell_angle_beta 90.00
_cell_angle_gamma 90.00
_symmetry_space_group_name_H-M 'P 4/m m m'
_symmetry_Int_Tables_number 123
_symmetry_space_group_name_Hall '-P 4 2'
loop_
_atom_site_label
_atom_site_type_symbol
_atom_site_fract_x
_atom_site_fract_y
_atom_site_fract_z
K1 K 0.000 0.000 0.000
Mn1 Mn 0.500 0.500 0.342
Cu1 Cu 0.000 0.000 0.500
```

Principal peaks in the range 2θ from 10° to 90°, low angle first:
(hkl)	2θ/deg	d_spacing	intensity
0 0 1	10.11	8.748	100
0 0 2	20.30	4.374	11
1 0 2	35.16	2.552	63
1 1 0	40.60	2.222	42
1 1 1	41.95	2.154	13
1 0 3	42.28	2.138	30
1 0 4	50.87	1.795	29
2 0 0	58.77	1.571	13
2 1 2	70.36	1.338	14
2 1 4	81.39	1.182	13